# LaBi2Au
Simulated powder diffractogram, Cu Ka. Input: a cell relaxed with GGA-PBE.
Peak positions follow from Bragg's law for the DFT cell and can differ from measured ones.

Main lines, sorted by position (2θ = 10–90°):
hkl 1 0 2, 25.73°, rel. 5
hkl 1 1 2, 32.02°, rel. 100
hkl 0 0 4, 35.37°, rel. 11
hkl 1 1 3, 37.79°, rel. 7
hkl 2 0 0, 37.99°, rel. 38
hkl 1 1 4, 44.81°, rel. 7
hkl 2 0 4, 52.88°, rel. 15
hkl 2 2 0, 54.82°, rel. 13
hkl 3 1 2, 64.91°, rel. 27
hkl 2 2 4, 66.95°, rel. 7
hkl 2 0 6, 68.11°, rel. 5
hkl 3 3 2, 89.98°, rel. 6

Unit cell a=4.7368 b=4.7368 c=10.1501 alpha=90.00 beta=90.00 gamma=90.00
Fractional coordinates of all 8 atoms:
La 0.2500 0.2500 0.2334
La 0.7500 0.7500 0.7666
Bi 0.2500 0.2500 0.8138
Bi 0.2500 0.7500 0.5000
Bi 0.7500 0.2500 0.5000
Bi 0.7500 0.7500 0.1862
Au 0.2500 0.7500 0.0000
Au 0.7500 0.2500 0.0000